For SrPH6CI3, a DFT-relaxed cell (GGA-PBE, Alexandria) gives the simulated X-ray diffraction stick pattern in this record (Cu Kα X-rays).
No peak broadening, texture or thermal motion is included.

Crystal structure
Unit cell a=8.314 b=9.026 c=16.451 alpha=86.88 beta=86.93 gamma=82.70
Space group P1 (No. 1)
Asymmetric unit:
Sr1 0.000 0.000 0.000
Sr2 0.199 0.499 0.495
Sr3 0.499 0.004 0.999
Sr4 0.700 0.504 0.498
P1 0.319 0.960 0.292
P2 0.345 0.438 0.777
P3 0.763 0.469 0.129
P4 0.865 0.953 0.611
H1 0.010 0.504 0.189
H2 0.135 0.582 0.855
H3 0.167 0.928 0.326
H4 0.248 0.438 0.916
H5 0.249 0.333 0.751
H6 0.289 0.068 0.226
H7 0.334 0.606 0.885
H8 0.364 0.546 0.712
H9 0.381 0.131 0.388
H10 0.395 0.826 0.259
H11 0.446 0.940 0.419
H12 0.499 0.361 0.793
H13 0.561 0.033 0.340
H14 0.599 0.530 0.137
H15 0.720 0.898 0.594
H16 0.754 0.127 0.710
H17 0.767 0.311 0.139
H18 0.815 0.506 0.048
H19 0.818 0.945 0.756
H20 0.844 0.503 0.263
H21 0.860 0.666 0.197
H22 0.900 0.060 0.549
H23 0.966 0.067 0.723
H24 0.990 0.832 0.609
C1 0.257 0.524 0.867
C2 0.439 0.022 0.367
C3 0.849 0.031 0.710
C4 0.881 0.543 0.202
I1 0.203 0.243 0.082
I2 0.264 0.019 0.845
I3 0.278 0.754 0.086
I4 0.404 0.744 0.577
I5 0.467 0.511 0.341
I6 0.478 0.255 0.584
I7 0.722 0.260 0.924
I8 0.729 0.001 0.158
I9 0.790 0.760 0.924
I10 0.922 0.761 0.420
I11 0.939 0.498 0.654
I12 0.988 0.259 0.419

Main lines, in order of falling intensity (5 to 70 degrees two-theta):
hkl  d (Å)  2θ (°)  Rel. int.
1 2 -2  3.606  24.7  1000
0 0 2  8.204  10.8  940
0 1 1  8.016  11.0  855
0 1 -1  7.698  11.5  567
-1 2 2  3.426  26.0  543
1 2 2  3.811  23.3  520
1 -2 2  3.379  26.4  496
1 0 4  3.743  23.8  483
0 2 -6  2.285  39.4  459
1 2 -1  3.956  22.5  448

For SrPH6CI3, a DFT-relaxed cell (GGA-PBE, Alexandria) gives the simulated X-ray diffraction stick pattern in this record (Cu Kα X-rays).
No peak broadening, texture or thermal motion is included.

Crystal structure
Unit cell a=6.546 b=6.588 c=6.604 alpha=90.00 beta=93.93 gamma=90.00
Space group Pm (No. 6)
Asymmetric unit:
Sr1 0.000 0.000 0.000
P1 0.607 0.500 0.394
H1 0.321 0.363 0.557
H2 0.493 0.500 0.730
H3 0.514 0.500 0.196
H4 0.734 0.326 0.419
C1 0.416 0.500 0.577
I1 0.006 0.000 0.503
I2 0.500 0.000 0.029
I3 0.980 0.500 0.005

Main lines, in order of falling intensity (5 to 70 degrees two-theta):
hkl  d (Å)  2θ (°)  Rel. int.
0 2 0  3.294  27.1  1000
1 1 1  3.709  24.0  622
0 0 1  6.588  13.4  579
1 1 -1  3.882  22.9  560
2 0 0  3.265  27.3  449
2 2 0  2.319  38.8  355
0 2 2  2.329  38.7  346
0 1 2  2.945  30.4  324
1 0 0  6.530  13.6  305
2 2 2  1.854  49.1  191